Structure and simulated powder diffractogram of HfBAu (a cell relaxed with GGA-PBE; CuKα).
Kinematic intensities with the Lorentz-polarization factor, no thermal factor.

Peak list (12 most intense, 2θ from 5° to 70°, most intense first)
Position (°2θ), I_rel
35.41, 100
39.11, 95
36.30, 64
39.43, 61
38.65, 45
38.32, 40
63.18, 32
33.27, 31
57.12, 30
68.37, 30
47.57, 29
15.31, 26

Cell and atoms:
a b c (Å): 11.774 3.225 4.778
angles (deg): 90.00 100.50 90.00
Fractional coordinates of all 12 atoms:
Hf: 0.148 0.000 0.330
Hf: 0.352 0.500 0.670
Hf: 0.648 0.500 0.330
Hf: 0.852 0.000 0.670
B: 0.250 0.000 0.926
B: 0.250 0.500 0.074
B: 0.750 0.000 0.074
B: 0.750 0.500 0.926
Au: 0.065 0.500 0.776
Au: 0.435 0.000 0.224
Au: 0.565 0.000 0.776
Au: 0.935 0.500 0.224